Theoretical powder X-ray diffraction pattern
Compound: MgMn2Fe4O8
Radiation: Cu Kα, 1.54184 Å
Structure: a structure optimized by DFT (PBE+U)

Most intense lines, 2θ from 10° to 80°, by angle:
hkl 0 0 2, d = 5.244 Å, 2θ 16.91, I = 59.5
hkl 1 1 2, d = 3.312 Å, 2θ 26.92, I = 71.3
hkl 0 1 3, d = 3.027 Å, 2θ 29.51, I = 78.7
hkl 2 1 1, d = 2.614 Å, 2θ 34.30, I = 100.0
hkl 2 2 0, d = 2.136 Å, 2θ 42.31, I = 40.3
hkl 2 0 4, d = 1.982 Å, 2θ 45.78, I = 55.9
hkl 1 3 2, d = 1.794 Å, 2θ 50.90, I = 19.6
hkl 2 2 4, d = 1.657 Å, 2θ 55.47, I = 55.2
hkl 2 3 1, d = 1.653 Å, 2θ 55.60, I = 30.1
hkl 0 4 0, d = 1.510 Å, 2θ 61.40, I = 19.3

Crystal structure
a = 6.0317 Å, b = 6.0391 Å, c = 10.5057 Å
α = 90.00°, β = 90.00°, γ = 90.00°
Space group Imm2 (No. 44)
Asymmetric unit:
Mg 0.0000 0.0000 0.0000
Mn 0.0000 0.2592 0.8207
Fe 0.0000 0.0000 0.4910
Fe 0.0000 0.5000 0.2517
Fe 0.2362 0.5000 0.6636
O 0.0000 0.2327 0.1421
O 0.0000 0.2590 0.6150
O 0.2340 0.0000 0.8615
O 0.2472 0.0000 0.3722

=====

Theoretical powder X-ray diffraction pattern
Compound: MgMn3FeO8
Radiation: Cu Kα, 1.54184 Å
Structure: a structure optimized by DFT (PBE+U)

Most intense lines, 2θ from 10° to 80°, by angle:
hkl 0 0 1, d = 4.888 Å, 2θ 18.15, I = 100.0
hkl 2 0 -1, d = 4.827 Å, 2θ 18.38, I = 21.9
hkl 1 1 -2, d = 2.520 Å, 2θ 35.63, I = 8.4
hkl 2 2 -1, d = 2.510 Å, 2θ 35.78, I = 14.6
hkl 2 2 0, d = 2.436 Å, 2θ 36.89, I = 10.4
hkl 4 0 0, d = 2.180 Å, 2θ 41.43, I = 29.8
hkl 2 2 -2, d = 2.074 Å, 2θ 43.63, I = 53.3
hkl 2 2 2, d = 1.511 Å, 2θ 61.35, I = 14.4
hkl 6 2 -2, d = 1.494 Å, 2θ 62.11, I = 15.0
hkl 0 4 0, d = 1.469 Å, 2θ 63.30, I = 7.4

Crystal structure
a = 10.4282 Å, b = 5.8764 Å, c = 5.8587 Å
α = 90.00°, β = 123.27°, γ = 90.00°
Space group C2/m (No. 12)
Asymmetric unit:
Mg 0.0000 0.0000 0.0000
Mn 0.0000 0.5000 0.5000
Mn 0.2500 0.2500 0.0000
Fe 0.0000 0.5000 0.0000
O 0.0261 0.2680 0.7732
O 0.2338 0.5000 0.2012
O 0.2366 0.0000 0.2015